Structure and theoretical XRD peak list of YMg6SiO8 (a cell relaxed with GGA-PBE; Cu Kα X-rays).

```
data_YMg6SiO8
_space_group_name_H-M_alt 'P 4/m m m'
_space_group_IT_number 123
_space_group_name_Hall '-P 4 2'
_cell_length_a 4.3768
_cell_length_b 4.3768
_cell_length_c 9.5389
_cell_angle_alpha 90.00
_cell_angle_beta 90.00
_cell_angle_gamma 90.00
loop_
_atom_site_label
_atom_site_type_symbol
_atom_site_fract_x
_atom_site_fract_y
_atom_site_fract_z
Y1 Y 0.0000 0.0000 0.0000
Mg1 Mg 0.0000 0.0000 0.5000
Mg2 Mg 0.0000 0.5000 0.2767
Mg3 Mg 0.5000 0.5000 0.5000
Si1 Si 0.5000 0.5000 0.0000
O1 O 0.0000 0.0000 0.2572
O2 O 0.0000 0.5000 0.0000
O3 O 0.0000 0.5000 0.5000
O4 O 0.5000 0.5000 0.2897
```

Largest 6 diffraction maxima, in order of rising 2θ, 10 to 90 degrees two-theta:
| (hkl) | two_theta | I (rel.) |
| --- | --- | --- |
| 1 0 1 | 22.35 | 30 |
| 1 1 2 | 34.55 | 39 |
| 0 0 4 | 37.72 | 54 |
| 2 0 0 | 41.25 | 100 |
| 2 0 4 | 57.13 | 56 |
| 2 2 0 | 59.76 | 29 |